# DyScZnPd
Computed X-ray powder pattern, Cu Kα, 1.54184 Å. Input: a DFT-relaxed cell (PBE, Alexandria).

Top 8 peaks for 2θ from 10° to 80°, low angle first:
| two_theta | I/Imax |
| --- | --- |
| 13.00 | 19.3 |
| 29.05 | 29.0 |
| 36.90 | 53.2 |
| 37.12 | 100.0 |
| 53.18 | 18.2 |
| 66.63 | 34.5 |
| 67.06 | 14.8 |
| 79.08 | 9.2 |

Structure:
abc: 3.4448 3.4448 6.8117
angles: 90.00 90.00 90.00
Element x y z (fractional)
Dy1 0.0000 0.0000 0.0000
Sc1 0.0000 0.0000 0.4946
Zn1 0.5000 0.5000 0.7206
Pd1 0.5000 0.5000 0.2707

# CuPd3Pt5
Computed X-ray powder pattern, Cu Kα, 1.54184 Å. Input: a DFT-relaxed cell (PBE, Alexandria).

Top 8 peaks for 2θ from 10° to 80°, low angle first:
| two_theta | I/Imax |
| --- | --- |
| 34.54 | 62.4 |
| 36.62 | 82.2 |
| 38.77 | 34.8 |
| 40.81 | 100.0 |
| 45.26 | 18.9 |
| 51.99 | 25.3 |
| 57.44 | 27.3 |
| 74.21 | 13.8 |

Structure:
abc: 7.5921 7.5921 7.5921
angles: 122.14 122.14 86.33
Element x y z (fractional)
Cu1 0.2500 0.7500 0.5000
Cu2 0.7500 0.2500 0.5000
Pd1 0.1150 0.6150 0.7300
Pd2 0.2500 0.2500 0.0000
Pd3 0.3850 0.1150 0.5000
Pd4 0.6150 0.8850 0.5000
Pd5 0.7500 0.7500 0.0000
Pd6 0.8850 0.3850 0.2700
Pt1 0.0000 0.0000 0.0000
Pt2 0.0577 0.1621 0.5000
Pt3 0.1621 0.6621 0.1044
Pt4 0.3379 0.4423 0.5000
Pt5 0.4423 0.9423 0.1044
Pt6 0.5000 0.5000 0.0000
Pt7 0.5577 0.0577 0.8956
Pt8 0.6621 0.5577 0.5000
Pt9 0.8379 0.3379 0.8956
Pt10 0.9423 0.8379 0.5000

# TbNd2Sm5Tm
Computed X-ray powder pattern, Cu Kα, 1.54184 Å. Input: a DFT-relaxed cell (PBE, Alexandria).

Top 8 peaks for 2θ from 10° to 80°, low angle first:
| two_theta | I/Imax |
| --- | --- |
| 28.32 | 41.9 |
| 29.22 | 52.3 |
| 30.12 | 100.0 |
| 37.93 | 13.4 |
| 39.13 | 12.1 |
| 44.42 | 12.5 |
| 52.37 | 26.6 |
| 54.05 | 13.4 |

Structure:
abc: 10.1952 10.1952 10.1952
angles: 129.82 129.82 73.69
Element x y z (fractional)
Tb1 0.2500 0.2500 0.0000
Tb2 0.7500 0.7500 0.0000
Nd1 0.1200 0.6200 0.7400
Nd2 0.3800 0.1200 0.5000
Nd3 0.6200 0.8800 0.5000
Nd4 0.8800 0.3800 0.2600
Sm1 0.0000 0.0000 0.0000
Sm2 0.0734 0.1421 0.5000
Sm3 0.1421 0.6421 0.0688
Sm4 0.3579 0.4266 0.5000
Sm5 0.4266 0.9266 0.0688
Sm6 0.5000 0.5000 0.0000
Sm7 0.5734 0.0734 0.9312
Sm8 0.6421 0.5734 0.5000
Sm9 0.8579 0.3579 0.9312
Sm10 0.9266 0.8579 0.5000
Tm1 0.2500 0.7500 0.5000
Tm2 0.7500 0.2500 0.5000

# Nd3CoGe
Computed X-ray powder pattern, Cu Kα, 1.54184 Å. Input: a DFT-relaxed cell (PBE, Alexandria).

Top 8 peaks for 2θ from 10° to 80°, low angle first:
| two_theta | I/Imax |
| --- | --- |
| 29.66 | 100.0 |
| 30.53 | 60.3 |
| 32.09 | 25.1 |
| 32.28 | 52.7 |
| 35.11 | 25.9 |
| 36.92 | 28.5 |
| 39.07 | 43.4 |
| 42.41 | 37.8 |

Structure:
abc: 4.2630 7.7156 8.3669
angles: 89.92 89.98 73.99
Element x y z (fractional)
Nd1 0.0475 0.4053 0.1772
Nd2 0.2454 0.0096 0.8018
Nd3 0.3830 0.7325 0.4455
Nd4 0.6170 0.2675 0.5545
Nd5 0.7546 0.9904 0.1982
Nd6 0.9525 0.5947 0.8228
Co1 0.1987 0.1036 0.4190
Co2 0.8013 0.8964 0.5810
Ge1 0.3910 0.7179 0.0720
Ge2 0.6090 0.2821 0.9280

# CaMg8Ga4
Computed X-ray powder pattern, Cu Kα, 1.54184 Å. Input: a DFT-relaxed cell (PBE, Alexandria).

Top 8 peaks for 2θ from 10° to 80°, low angle first:
| two_theta | I/Imax |
| --- | --- |
| 17.84 | 92.3 |
| 25.33 | 41.5 |
| 36.13 | 67.7 |
| 36.27 | 34.3 |
| 36.69 | 100.0 |
| 40.57 | 55.6 |
| 41.08 | 72.3 |
| 52.44 | 34.1 |

Structure:
abc: 7.5740 7.5740 7.5740
angles: 97.94 97.94 136.37
Element x y z (fractional)
Ca1 0.0000 0.0000 0.0000
Mg1 0.0000 0.3506 0.3506
Mg2 0.0000 0.6494 0.6494
Mg3 0.2854 0.5000 0.7854
Mg4 0.3506 0.0000 0.3506
Mg5 0.5000 0.2854 0.7854
Mg6 0.5000 0.7146 0.2146
Mg7 0.6494 0.0000 0.6494
Mg8 0.7146 0.5000 0.2146
Ga1 0.0000 0.0000 0.5000
Ga2 0.0000 0.5000 0.0000
Ga3 0.5000 0.0000 0.0000
Ga4 0.5000 0.5000 0.5000

# PrCoGe4
Computed X-ray powder pattern, Cu Kα, 1.54184 Å. Input: a DFT-relaxed cell (PBE, Alexandria).

Top 8 peaks for 2θ from 10° to 80°, low angle first:
| two_theta | I/Imax |
| --- | --- |
| 29.19 | 67.0 |
| 31.93 | 100.0 |
| 37.02 | 95.8 |
| 37.21 | 65.0 |
| 39.81 | 65.7 |
| 43.64 | 34.2 |
| 52.82 | 18.0 |
| 55.49 | 57.9 |

Structure:
abc: 9.2058 9.2058 5.7885
angles: 90.00 90.00 151.52
Element x y z (fractional)
Pr1 0.0935 0.9065 0.7500
Pr2 0.9065 0.0935 0.2500
Co1 0.3938 0.6062 0.7500
Co2 0.6062 0.3938 0.2500
Ge1 0.1353 0.8647 0.2500
Ge2 0.2874 0.7126 0.0190
Ge3 0.2874 0.7126 0.4810
Ge4 0.5000 0.5000 0.0000
Ge5 0.5000 0.5000 0.5000
Ge6 0.7126 0.2874 0.5190
Ge7 0.7126 0.2874 0.9810
Ge8 0.8647 0.1353 0.7500

Q: Which formula does entry 3 have?
A: TbNd2Sm5Tm